For PuCu4Se4, a DFT-relaxed cell (GGA-PBE, OQMD) gives the computed XRD peak list in this record (Cu Kα (λ = 1.5418 Å)).

Peak list (12 most intense, 2θ from 15° to 90°, by intensity)
2theta  intensity  h k l
43.66  100.0  2 0 4
16.95  74.0  1 0 1
26.37  59.9  1 1 2
43.88  49.2  2 2 0
35.22  33.7  2 1 1
27.37  33.5  1 0 3
80.50  31.3  4 2 4
21.53  25.3  1 1 0
15.04  23.4  0 0 2
34.29  18.6  2 0 2
41.54  17.1  2 1 3
51.92  16.9  3 1 2

Cell and atoms:
Lattice parameters (Å, degrees): 5.8362 5.8362 11.7819 90.00 90.00 90.00
Space group I-42m (No. 121)
Inequivalent atoms, fractional coordinates:
1 Pu 0.0000 0.0000 0.0000 (multiplicity 2)
2 Cu 0.0000 0.0000 0.2514 (multiplicity 4)
3 Cu 0.0000 0.5000 0.0000 (multiplicity 4)
4 Se 0.2387 0.2387 0.3701 (multiplicity 8)



For DyThCu, a DFT-relaxed cell (GGA-PBE, OQMD) gives the computed XRD peak list in this record (Cu Kα (λ = 1.5418 Å)).

Peak list (12 most intense, 2θ from 15° to 90°, by intensity)
2theta  intensity  h k l
37.20  100.0  2 2 0
26.07  59.9  2 0 0
67.07  35.8  4 2 2
60.57  24.4  4 2 0
45.99  18.0  2 2 2
53.62  17.5  4 0 0
85.16  12.4  6 0 0
79.27  11.2  4 4 0
22.53  10.1  1 1 1
43.93  5.4  3 1 1
58.88  2.3  3 3 1
83.69  1.7  5 3 1

Cell and atoms:
Lattice parameters (Å, degrees): 6.8364 6.8364 6.8364 90.00 90.00 90.00
Space group F-43m (No. 216)
Inequivalent atoms, fractional coordinates:
1 Dy 0.0000 0.0000 0.0000 (multiplicity 4)
2 Th 0.0000 0.0000 0.5000 (multiplicity 4)
3 Cu 0.2500 0.2500 0.2500 (multiplicity 4)



For Sr3MoN4, a DFT-relaxed cell (GGA-PBE, OQMD) gives the computed XRD peak list in this record (Cu Kα (λ = 1.5418 Å)).

Peak list (12 most intense, 2θ from 15° to 90°, by intensity)
2theta  intensity  h k l
30.17  100.0  3 3 0
30.69  57.5  3 1 -3
30.40  54.7  6 0 0
34.34  49.2  3 1 3
32.49  29.0  0 2 3
18.12  19.5  0 0 2
17.37  18.7  3 1 0
23.61  16.4  3 1 -2
29.08  15.5  4 0 2
36.79  15.5  5 3 -1
42.23  14.0  6 2 -3
36.59  13.7  7 1 -1

Cell and atoms:
Lattice parameters (Å, degrees): 17.8132 10.2880 9.8868 90.00 97.99 90.00
Space group C2/c (No. 15)
Inequivalent atoms, fractional coordinates:
1 Sr 0.0000 0.0117 0.2500 (multiplicity 4)
2 Sr 0.0232 0.3388 0.5875 (multiplicity 8)
3 Sr 0.1533 0.2342 0.0999 (multiplicity 8)
4 Sr 0.1777 0.1271 0.4549 (multiplicity 8)
5 Sr 0.1851 0.4657 0.7995 (multiplicity 8)
6 Mo 0.0000 0.3340 0.2500 (multiplicity 4)
7 Mo 0.1757 0.1483 0.7880 (multiplicity 8)
8 N 0.0511 0.2202 0.3782 (multiplicity 8)
9 N 0.0654 0.4336 0.1551 (multiplicity 8)
10 N 0.0964 0.2534 0.8369 (multiplicity 8)
11 N 0.1392 0.0016 0.6899 (multiplicity 8)
12 N 0.2345 0.2497 0.6827 (multiplicity 8)
13 N 0.2407 0.0945 0.9441 (multiplicity 8)



For Tb2SmSi4Ag4, a DFT-relaxed cell (GGA-PBE, OQMD) gives the computed XRD peak list in this record (Cu Kα (λ = 1.5418 Å)).

Peak list (12 most intense, 2θ from 15° to 90°, by intensity)
2theta  intensity  h k l
33.51  100.0  1 1 4
44.30  35.1  2 0 0
32.79  32.2  1 0 7
42.74  19.8  0 2 0
27.84  19.4  0 0 8
23.45  17.6  0 1 3
54.89  14.6  1 2 7
63.23  12.0  2 2 0
64.45  11.1  2 1 11
66.37  11.0  1 1 16
38.05  10.4  0 1 9
72.38  10.2  1 3 4

Cell and atoms:
Lattice parameters (Å, degrees): 4.0918 4.2315 25.6698 90.00 90.00 90.00
Space group Immm (No. 71)
Inequivalent atoms, fractional coordinates:
1 Tb 0.0000 0.0000 0.1479 (multiplicity 4)
2 Sm 0.0000 0.5000 0.0000 (multiplicity 2)
3 Si 0.0000 0.0000 0.3114 (multiplicity 4)
4 Si 0.0000 0.5000 0.4543 (multiplicity 4)
5 Ag 0.0000 0.0000 0.4058 (multiplicity 4)
6 Ag 0.0000 0.5000 0.2513 (multiplicity 4)



For SmC6N9, a DFT-relaxed cell (GGA-PBE, OQMD) gives the computed XRD peak list in this record (Cu Kα (λ = 1.5418 Å)).

Peak list (12 most intense, 2θ from 15° to 90°, by intensity)
2theta  intensity  h k l
16.43  100.0  1 1 1
15.82  27.8  0 2 0
27.95  25.9  1 3 1
22.64  24.5  2 0 0
30.38  24.3  1 1 3
33.23  23.3  0 4 1
17.87  17.2  0 0 2
32.09  15.8  1 3 2
36.43  14.4  3 1 1
43.17  14.2  2 0 4
39.08  13.5  2 2 3
29.02  11.5  2 0 2

Cell and atoms:
Lattice parameters (Å, degrees): 7.8436 11.2028 9.9290 90.00 90.00 90.00
Space group Cmcm (No. 63)
Inequivalent atoms, fractional coordinates:
1 Sm 0.0000 0.2131 0.2500 (multiplicity 4)
2 C 0.1443 0.0858 0.7500 (multiplicity 8)
3 C 0.1450 0.3576 0.5492 (multiplicity 16)
4 N 0.0000 0.0291 0.7500 (multiplicity 4)
5 N 0.0000 0.3428 0.0120 (multiplicity 8)
6 N 0.2177 0.1335 0.0954 (multiplicity 16)
7 N 0.2203 0.3691 0.2500 (multiplicity 8)



For ReF7, a DFT-relaxed cell (GGA-PBE, OQMD) gives the computed XRD peak list in this record (Cu Kα (λ = 1.5418 Å)).

Peak list (12 most intense, 2θ from 15° to 90°, by intensity)
2theta  intensity  h k l
22.48  100.0  1 1 1
21.15  30.9  0 2 0
22.72  26.2  2 0 0
31.23  23.8  2 2 0
37.87  15.8  1 3 1
39.75  14.7  3 1 1
52.68  13.7  1 1 3
50.65  13.4  3 3 1
45.88  12.5  2 2 2
32.74  9.8  0 0 2
39.31  9.4  0 2 2
49.23  8.9  2 4 0

Cell and atoms:
Lattice parameters (Å, degrees): 7.8271 8.4024 5.4705 90.00 90.00 90.00
Space group Aea2 (No. 41)
Inequivalent atoms, fractional coordinates:
1 Re 0.0000 0.0000 0.0000 (multiplicity 4)
2 F 0.0000 0.0000 0.3418 (multiplicity 4)
3 F 0.1013 0.1905 0.1074 (multiplicity 8)
4 F 0.1027 0.0959 0.7282 (multiplicity 8)
5 F 0.2001 0.3849 0.5032 (multiplicity 8)



For AlCdFeTe4, a DFT-relaxed cell (GGA-PBE, OQMD) gives the computed XRD peak list in this record (Cu Kα (λ = 1.5418 Å)).

Peak list (12 most intense, 2θ from 15° to 90°, by intensity)
2theta  intensity  h k l
26.41  100.0  2 0 2
43.85  96.4  2 2 4
30.53  93.2  2 2 0
43.72  48.7  4 0 0
30.70  45.6  0 0 4
54.37  34.0  4 0 4
51.80  28.5  4 2 2
80.40  28.4  6 2 4
72.18  27.4  6 2 0
25.23  20.5  2 1 1
63.54  14.8  4 4 0
25.34  14.1  1 0 3

Cell and atoms:
Lattice parameters (Å, degrees): 8.2823 8.2823 11.6475 90.00 90.00 90.00
Space group P4_122 (No. 91)
Inequivalent atoms, fractional coordinates:
1 Al 0.0000 0.2528 0.0000 (multiplicity 4)
2 Cd 0.2512 0.5000 0.7500 (multiplicity 4)
3 Fe 0.2431 0.2431 0.3750 (multiplicity 4)
4 Te 0.0068 0.2364 0.7578 (multiplicity 8)
5 Te 0.2372 0.4950 0.0079 (multiplicity 8)



For ZrOs, a DFT-relaxed cell (GGA-PBE, OQMD) gives the computed XRD peak list in this record (Cu Kα (λ = 1.5418 Å)).

Peak list (8 most intense, 2θ from 15° to 90°, by intensity)
2theta  intensity  h k l
38.79  100.0  1 1 0
70.22  34.8  2 1 1
56.02  17.2  2 0 0
27.16  13.7  1 0 0
83.23  11.1  2 2 0
63.34  5.8  2 1 0
47.99  4.2  1 1 1
89.56  3.1  3 0 0

Cell and atoms:
Lattice parameters (Å, degrees): 3.2834 3.2834 3.2834 90.00 90.00 90.00
Space group Pm-3m (No. 221)
Inequivalent atoms, fractional coordinates:
1 Zr 0.0000 0.0000 0.0000 (multiplicity 1)
2 Os 0.5000 0.5000 0.5000 (multiplicity 1)